Starting from the PBE geometry in Alexandria, the XRD peak list of Sm3InCu was computed for CuKα.

Top 10 peaks for 2θ = 10–90°, sorted by position:
24.72°, I 56
27.35°, I 17
31.64°, I 52
33.23°, I 100
33.71°, I 61
35.79°, I 28
37.47°, I 49
50.56°, I 17
55.09°, I 17
55.79°, I 16

Atomic structure:
Unit cell a=12.963 b=11.481 c=7.926 alpha=90.00 beta=90.00 gamma=90.00
Space group Cmce (No. 64)
One atom of each set of equivalent atoms:
Sm: 0.000 0.073 0.204 x8
Sm: 0.140 0.158 0.594 x16
In: 0.250 0.083 0.250 x8
Cu: 0.000 0.195 0.882 x8